[1]
TaRe5: theoretical X-ray diffraction stick pattern (CuKα), based on a crystal structure in Alexandria, relaxed with GGA-PBE.

Atomic structure:
Cell: 5.276 5.276 6.777 Å, 107.05 107.05 31.35°
Element x y z (fractional)
1 Ta 0.000 0.000 0.000
2 Re 0.277 0.277 0.071
3 Re 0.350 0.350 0.654
4 Re 0.646 0.646 0.729
5 Re 0.679 0.679 0.344
6 Re 0.960 0.960 0.406

Peak list (10 most intense, 15° ≤ 2θ ≤ 90°, sorted by position)
Position (°2θ)	I_rel
36.78	34
37.93	29
39.15	66
41.40	100
41.99	38
42.31	91
43.78	32
67.76	28
79.01	17
79.29	18

[2]
Ta6Re7: theoretical X-ray diffraction stick pattern (CuKα), based on a crystal structure in Alexandria, relaxed with GGA-PBE.

Atomic structure:
Cell: 9.862 9.862 9.862 Å, 30.55 30.55 30.55°
Element x y z (fractional)
1 Ta 0.048 0.048 0.048
2 Ta 0.153 0.153 0.153
3 Ta 0.334 0.334 0.334
4 Ta 0.666 0.666 0.666
5 Ta 0.847 0.847 0.847
6 Ta 0.952 0.952 0.952
7 Re 0.086 0.591 0.591
8 Re 0.409 0.409 0.914
9 Re 0.409 0.914 0.409
10 Re 0.500 0.500 0.500
11 Re 0.591 0.086 0.591
12 Re 0.591 0.591 0.086
13 Re 0.914 0.409 0.409

Peak list (10 most intense, 15° ≤ 2θ ≤ 90°, sorted by position)
Position (°2θ)	I_rel
34.52	45
37.66	46
38.32	28
39.64	100
40.21	47
40.53	71
43.30	56
46.22	26
65.92	27
72.81	38

[3]
Ta4ReTc2: theoretical X-ray diffraction stick pattern (CuKα), based on a crystal structure in Alexandria, relaxed with GGA-PBE.

Atomic structure:
Cell: 5.466 5.466 5.466 Å, 109.49 109.49 109.43°
Element x y z (fractional)
1 Ta 0.000 0.000 0.500
2 Ta 0.000 0.500 0.000
3 Ta 0.500 0.000 0.000
4 Ta 0.500 0.500 0.500
5 Re 0.000 0.000 0.000
6 Tc 0.000 0.500 0.500
7 Tc 0.500 0.000 0.500

Peak list (10 most intense, 15° ≤ 2θ ≤ 90°, sorted by position)
Position (°2θ)	I_rel
19.89	11
28.28	11
34.82	6
40.42	100
50.06	3
54.38	3
58.49	17
66.21	4
73.50	35
87.40	11

[4]
TaReTe: theoretical X-ray diffraction stick pattern (CuKα), based on a crystal structure in Alexandria, relaxed with GGA-PBE.

Atomic structure:
Cell: 13.864 3.080 3.080 Å, 63.49 90.00 90.00°
Element x y z (fractional)
1 Ta 0.000 0.000 0.000
2 Ta 0.500 0.144 0.144
3 Re 0.153 0.497 0.497
4 Re 0.847 0.497 0.497
5 Te 0.300 0.163 0.163
6 Te 0.700 0.163 0.163

Peak list (10 most intense, 15° ≤ 2θ ≤ 90°, sorted by position)
Position (°2θ)	I_rel
32.49	32
33.14	34
34.23	31
34.86	56
35.04	39
38.01	88
38.98	42
41.88	100
47.77	24
76.99	30

[5]
TaTi6Re2: theoretical X-ray diffraction stick pattern (CuKα), based on a crystal structure in Alexandria, relaxed with GGA-PBE.

Atomic structure:
Cell: 5.357 5.357 9.653 Å, 107.03 107.03 34.34°
Element x y z (fractional)
1 Ta 0.000 0.000 0.000
2 Ti 0.012 0.012 0.333
3 Ti 0.319 0.319 0.426
4 Ti 0.321 0.321 0.121
5 Ti 0.679 0.679 0.879
6 Ti 0.681 0.681 0.574
7 Ti 0.988 0.988 0.667
8 Re 0.339 0.339 0.781
9 Re 0.661 0.661 0.219

Peak list (10 most intense, 15° ≤ 2θ ≤ 90°, sorted by position)
Position (°2θ)	I_rel
17.80	72
22.16	38
32.18	24
37.25	28
39.25	57
39.59	50
39.78	100
39.97	100
72.60	18
72.84	22

[6]
TaTi3Re4: theoretical X-ray diffraction stick pattern (CuKα), based on a crystal structure in Alexandria, relaxed with GGA-PBE.

Atomic structure:
Cell: 3.150 4.440 8.844 Å, 90.00 90.00 90.00°
Element x y z (fractional)
1 Ta 0.000 0.000 0.000
2 Ti 0.000 0.000 0.500
3 Ti 0.000 0.500 0.254
4 Ti 0.000 0.500 0.746
5 Re 0.500 0.000 0.253
6 Re 0.500 0.000 0.747
7 Re 0.500 0.500 0.000
8 Re 0.500 0.500 0.500

Peak list (10 most intense, 15° ≤ 2θ ≤ 90°, sorted by position)
Position (°2θ)	I_rel
28.34	8
28.49	16
40.62	100
40.81	20
58.62	7
58.96	13
73.77	7
73.92	20
74.17	13
87.93	11

[7]
TaTi5Re4: theoretical X-ray diffraction stick pattern (CuKα), based on a crystal structure in Alexandria, relaxed with GGA-PBE.

Atomic structure:
Cell: 3.119 3.119 16.090 Å, 90.00 90.00 90.00°
Element x y z (fractional)
1 Ta 0.000 0.000 0.000
2 Ti 0.500 0.500 0.117
3 Ti 0.500 0.500 0.307
4 Ti 0.500 0.500 0.500
5 Ti 0.500 0.500 0.693
6 Ti 0.500 0.500 0.883
7 Re 0.000 0.000 0.208
8 Re 0.000 0.000 0.403
9 Re 0.000 0.000 0.597
10 Re 0.000 0.000 0.792

Peak list (10 most intense, 15° ≤ 2θ ≤ 90°, sorted by position)
Position (°2θ)	I_rel
27.72	24
28.62	44
40.27	100
40.92	50
50.15	20
59.26	17
65.25	10
72.76	15
74.09	33
87.02	10

[8]
TaV2Re2: theoretical X-ray diffraction stick pattern (CuKα), based on a crystal structure in Alexandria, relaxed with GGA-PBE.

Atomic structure:
Cell: 8.065 8.065 3.101 Å, 90.00 90.00 157.36°
Element x y z (fractional)
1 Ta 0.000 0.000 0.000
2 V 0.191 0.809 0.000
3 V 0.809 0.191 0.000
4 Re 0.395 0.605 0.500
5 Re 0.605 0.395 0.500

Peak list (10 most intense, 15° ≤ 2θ ≤ 90°, sorted by position)
Position (°2θ)	I_rel
33.00	19
36.84	68
40.30	84
41.14	100
45.15	37
58.31	29
68.11	23
70.97	20
74.45	27
88.24	18

[9]
Ta2V5Re: theoretical X-ray diffraction stick pattern (CuKα), based on a crystal structure in Alexandria, relaxed with GGA-PBE.

Atomic structure:
Cell: 6.981 6.981 6.981 Å, 143.71 143.71 52.26°
Element x y z (fractional)
1 Ta 0.248 0.248 0.000
2 Ta 0.752 0.752 0.000
3 V 0.000 0.000 0.000
4 V 0.117 0.617 0.500
5 V 0.383 0.883 0.500
6 V 0.617 0.117 0.500
7 V 0.883 0.383 0.500
8 Re 0.500 0.500 0.000

Peak list (10 most intense, 15° ≤ 2θ ≤ 90°, sorted by position)
Position (°2θ)	I_rel
21.63	14
28.48	16
29.04	31
41.13	100
41.54	51
51.14	14
60.20	17
74.68	16
75.51	32
89.27	10

[10]
Ta6V5Re: theoretical X-ray diffraction stick pattern (CuKα), based on a crystal structure in Alexandria, relaxed with GGA-PBE.

Atomic structure:
Cell: 7.776 7.776 7.776 Å, 146.39 131.82 60.02°
Element x y z (fractional)
1 Ta 0.083 0.833 0.249
2 Ta 0.250 0.500 0.750
3 Ta 0.416 0.167 0.249
4 Ta 0.584 0.833 0.751
5 Ta 0.750 0.500 0.250
6 Ta 0.917 0.167 0.751
7 V 0.000 0.000 0.000
8 V 0.166 0.666 0.500
9 V 0.330 0.330 0.000
10 V 0.670 0.670 0.000
11 V 0.834 0.334 0.500
12 Re 0.500 0.000 0.500

Peak list (10 most intense, 15° ≤ 2θ ≤ 90°, sorted by position)
Position (°2θ)	I_rel
15.43	2
24.27	2
28.10	23
40.16	100
49.73	7
58.09	17
65.76	8
72.96	28
73.02	6
86.75	9

[11]
Ta3V2Re: theoretical X-ray diffraction stick pattern (CuKα), based on a crystal structure in Alexandria, relaxed with GGA-PBE.

Atomic structure:
Cell: 7.103 7.103 6.367 Å, 90.00 90.00 143.13°
Element x y z (fractional)
1 Ta 0.000 0.000 0.250
2 Ta 0.000 0.000 0.750
3 Ta 0.333 0.667 0.249
4 Ta 0.333 0.667 0.751
5 Ta 0.667 0.333 0.249
6 Ta 0.667 0.333 0.751
7 V 0.167 0.833 0.000
8 V 0.500 0.500 0.000
9 V 0.500 0.500 0.500
10 V 0.833 0.167 0.000
11 Re 0.166 0.834 0.500
12 Re 0.834 0.166 0.500

Peak list (10 most intense, 15° ≤ 2θ ≤ 90°, sorted by position)
Position (°2θ)	I_rel
28.07	12
31.48	3
40.12	100
49.68	4
57.94	6
58.08	11
65.65	3
72.89	34
86.58	7
86.70	4

[12]
Ta6VRe5: theoretical X-ray diffraction stick pattern (CuKα), based on a crystal structure in Alexandria, relaxed with GGA-PBE.

Atomic structure:
Cell: 7.148 7.148 6.388 Å, 90.00 90.00 143.07°
Element x y z (fractional)
1 Ta 0.000 0.000 0.248
2 Ta 0.000 0.000 0.752
3 Ta 0.334 0.666 0.249
4 Ta 0.334 0.666 0.751
5 Ta 0.666 0.334 0.249
6 Ta 0.666 0.334 0.751
7 V 0.500 0.500 0.000
8 Re 0.166 0.834 0.000
9 Re 0.167 0.833 0.500
10 Re 0.500 0.500 0.500
11 Re 0.833 0.167 0.500
12 Re 0.834 0.166 0.000

Peak list (10 most intense, 15° ≤ 2θ ≤ 90°, sorted by position)
Position (°2θ)	I_rel
19.09	1
20.68	1
24.98	1
31.27	1
39.87	100
57.66	17
72.36	18
72.44	17
85.85	2
86.03	10

- What is the formula in the ninth record?
  Ta2V5Re

Repeat the fourth record exactly.
TaReTe: theoretical X-ray diffraction stick pattern (CuKα), based on a crystal structure in Alexandria, relaxed with GGA-PBE.

Atomic structure:
Cell: 13.864 3.080 3.080 Å, 63.49 90.00 90.00°
Element x y z (fractional)
1 Ta 0.000 0.000 0.000
2 Ta 0.500 0.144 0.144
3 Re 0.153 0.497 0.497
4 Re 0.847 0.497 0.497
5 Te 0.300 0.163 0.163
6 Te 0.700 0.163 0.163

Peak list (10 most intense, 15° ≤ 2θ ≤ 90°, sorted by position)
Position (°2θ)	I_rel
32.49	32
33.14	34
34.23	31
34.86	56
35.04	39
38.01	88
38.98	42
41.88	100
47.77	24
76.99	30